# PmSm4Y4
Simulated powder XRD pattern, Cu Kα. Input: the GGA-PBE geometry in Alexandria.

Top 8 peaks for 2θ from 10° to 80°, low angle first:
19.27°, rel. 3
30.37°, rel. 100
35.21°, rel. 50
50.65°, rel. 36
60.17°, rel. 28
60.28°, rel. 14
63.19°, rel. 12
74.38°, rel. 4

Structural model:
Unit cell a=8.0644 b=8.0644 c=8.0644 alpha=95.72 beta=95.72 gamma=143.21
Positions (direct):
Pm (0.0000, 0.0000, 0.0000)
Sm (0.0000, 0.3332, 0.3332)
Sm (0.0000, 0.6668, 0.6668)
Sm (0.3332, 0.0000, 0.3332)
Sm (0.6668, 0.0000, 0.6668)
Y (0.3334, 0.3334, 0.6667)
Y (0.3334, 0.6666, 0.0000)
Y (0.6666, 0.3334, 0.0000)
Y (0.6666, 0.6666, 0.3333)